Record 1
For Be, a DFT-relaxed cell (GGA-PBE, Alexandria) gives the simulated PXRD pattern in this record (a wavelength of 1.5418 Å).

Main lines, in order of rising 2θ (5 to 70 degrees two-theta):
Position (°2θ)	d/Å	I/Imax
33.8	2.652	2
46.6	1.949	15
48.6	1.875	54
53.0	1.729	100
54.7	1.677	31
69.6	1.351	7

```
Be
1.0
3.750 0.000 0.000
0.000 3.750 0.000
0.000 0.000 2.281
Be
4
Cartesian
0.760 0.760 0.000
1.115 2.635 1.141
2.635 1.115 1.141
2.990 2.990 0.000
```

---

Record 2
For Be, a DFT-relaxed cell (GGA-PBE, Alexandria) gives the simulated PXRD pattern in this record (a wavelength of 1.5418 Å).

Main lines, in order of rising 2θ (5 to 70 degrees two-theta):
Position (°2θ)	d/Å	I/Imax
28.8	3.099	27
41.2	2.192	18
50.9	1.793	25
53.3	1.720	100
59.6	1.552	5
59.7	1.550	1
67.5	1.388	8
67.6	1.386	12

```
Be
1.0
6.199 0.000 0.000
0.000 6.199 0.000
0.000 0.000 3.587
Be
16
Cartesian
0.535 1.581 0.000
0.582 4.679 1.794
1.519 0.582 1.794
1.518 2.565 1.794
1.580 3.682 0.000
1.581 5.664 0.000
2.517 1.580 0.000
2.565 4.680 1.794
3.634 1.518 1.794
3.682 4.619 0.000
4.618 0.535 0.000
4.619 2.517 0.000
4.680 3.634 1.794
4.679 5.617 1.794
5.617 1.519 1.794
5.664 4.618 0.000
```

---

Record 3
For Be2Bi, a DFT-relaxed cell (GGA-PBE, Alexandria) gives the simulated PXRD pattern in this record (a wavelength of 1.5418 Å).

Main lines, in order of rising 2θ (5 to 70 degrees two-theta):
Position (°2θ)	d/Å	I/Imax
9.8	9.050	37
19.6	4.525	65
28.0	3.185	51
28.3	3.151	100
29.6	3.017	35
34.4	2.604	36
34.6	2.592	37
34.8	2.580	34

```
Be2Bi
1.0
1.813 -3.185 0.000
1.813 3.185 0.000
-0.050 0.000 9.050
Be Bi
4 2
Cartesian
0.000 0.000 0.000
1.764 1.060 8.051
1.812 1.060 0.999
1.813 -1.069 0.000
1.767 -1.039 6.293
1.809 -1.039 2.757
```

---

Record 4
For BeBi2C, a DFT-relaxed cell (GGA-PBE, Alexandria) gives the simulated PXRD pattern in this record (a wavelength of 1.5418 Å).

Main lines, in order of rising 2θ (5 to 70 degrees two-theta):
Position (°2θ)	d/Å	I/Imax
27.5	3.242	100
31.7	2.826	32
32.3	2.771	16
45.4	1.998	14
45.9	1.979	27
53.9	1.701	31
54.7	1.677	16
56.8	1.621	12

```
BeBi2C
1.0
-2.826 2.826 5.543
2.826 -2.826 5.543
2.826 2.826 -5.543
Be Bi C
2 4 2
Cartesian
0.000 0.000 0.000
0.000 2.826 2.771
1.413 -1.301 4.157
1.525 1.413 1.386
1.413 4.127 -1.386
1.301 1.413 6.928
2.826 0.000 2.771
0.000 0.000 5.543
```

---

Record 5
For TiBe2BiC, a DFT-relaxed cell (GGA-PBE, Alexandria) gives the simulated PXRD pattern in this record (a wavelength of 1.5418 Å).

Main lines, in order of rising 2θ (5 to 70 degrees two-theta):
Position (°2θ)	d/Å	I/Imax
16.2	5.475	35
20.3	4.370	100
26.1	3.415	53
28.9	3.090	47
38.8	2.320	40
44.2	2.049	29
46.5	1.954	24
58.0	1.591	25

```
TiBe2BiC
1.0
4.370 0.000 0.000
0.000 4.370 0.000
0.000 0.000 5.475
Ti Be Bi C
1 2 1 1
Cartesian
0.000 0.000 0.000
0.000 2.185 2.738
2.185 0.000 2.738
0.000 0.000 2.738
2.185 2.185 0.000
```

---

Record 6
For CaBeBiO4, a DFT-relaxed cell (GGA-PBE, Alexandria) gives the simulated PXRD pattern in this record (a wavelength of 1.5418 Å).

Main lines, in order of rising 2θ (5 to 70 degrees two-theta):
Position (°2θ)	d/Å	I/Imax
22.3	3.994	100
23.3	3.821	50
26.8	3.324	21
30.2	2.956	33
32.3	2.768	42
32.5	2.754	50
38.5	2.338	35
44.7	2.026	28

```
CaBeBiO4
1.0
2.956 -4.668 0.000
2.956 4.668 0.000
0.000 0.000 6.649
Ca Be Bi O
2 2 2 8
Cartesian
0.000 0.000 0.000
0.000 0.000 3.324
2.956 1.271 4.987
2.956 -1.271 1.662
2.956 1.532 1.662
2.956 -1.532 4.987
2.956 2.328 3.749
2.956 2.328 6.225
1.656 0.188 4.987
1.656 -0.188 1.662
4.257 0.188 4.987
4.257 -0.188 1.662
2.956 -2.328 0.424
2.956 -2.328 2.900
```

---

Record 7
For Sr2BeCdBi, a DFT-relaxed cell (GGA-PBE, Alexandria) gives the simulated PXRD pattern in this record (a wavelength of 1.5418 Å).

Main lines, in order of rising 2θ (5 to 70 degrees two-theta):
Position (°2θ)	d/Å	I/Imax
14.3	6.197	100
25.9	3.444	39
28.8	3.099	51
32.3	2.772	29
35.3	2.540	23
41.2	2.191	19
43.7	2.071	33
46.2	1.964	22

```
Sr2BeCdBi
1.0
6.197 0.000 0.000
0.000 6.197 0.000
0.000 0.000 5.569
Sr Be Cd Bi
2 1 1 1
Cartesian
0.000 3.099 0.000
3.099 0.000 0.000
0.000 0.000 2.784
3.099 3.099 0.000
3.099 3.099 2.784
```

---

Record 8
For BeCoBi2P, a DFT-relaxed cell (GGA-PBE, Alexandria) gives the simulated PXRD pattern in this record (a wavelength of 1.5418 Å).

Main lines, in order of rising 2θ (5 to 70 degrees two-theta):
Position (°2θ)	d/Å	I/Imax
21.8	4.072	43
22.9	3.891	53
31.8	2.813	100
32.5	2.752	61
39.5	2.280	39
46.7	1.946	23
56.2	1.637	26
57.6	1.600	38

```
BeCoBi2P
1.0
5.503 0.000 0.000
0.000 5.503 0.000
0.000 0.000 4.072
Be Co Bi P
1 1 2 1
Cartesian
0.000 0.000 0.000
2.752 2.752 0.000
0.000 2.752 2.036
2.752 0.000 2.036
2.752 2.752 2.036
```